Entry 1:
Starting from a PBE-relaxed structure, the XRD peak list of BaSrY4 was calculated for CuKα.
Lines closer than 0.1° are merged.

Atomic structure:
a b c (Å): 7.0509 7.0509 7.0509
angles (deg): 60.00 60.00 60.00
Sites, in units of the cell vectors:
Ba  0.0000  0.0000  0.0000
Sr  0.7500  0.7500  0.7500
Y  0.3762  0.3762  0.3762
Y  0.3762  0.3762  0.8713
Y  0.3762  0.8713  0.3762
Y  0.8713  0.3762  0.3762

Principal peaks in the range 2θ from 5° to 70°, by angle:
2theta, I/Imax
25.3, 31.9
29.7, 100.0
31.1, 34.6
36.0, 2.6
44.5, 13.7
47.4, 35.9
51.9, 30.2
58.5, 6.0
60.9, 12.4
61.7, 13.7

Entry 2:
Starting from a PBE-relaxed structure, the XRD peak list of CsCd9Ni2 was calculated for CuKα.
Lines closer than 0.1° are merged.

Atomic structure:
a b c (Å): 8.9690 8.9690 4.2323
angles (deg): 90.00 90.00 120.00
Sites, in units of the cell vectors:
Cs  0.0000  0.0000  0.0000
Cd  0.0000  0.5000  0.0000
Cd  0.2139  0.4277  0.5000
Cd  0.2139  0.7861  0.5000
Cd  0.4277  0.2139  0.5000
Cd  0.5000  0.0000  0.0000
Cd  0.5000  0.5000  0.0000
Cd  0.5723  0.7861  0.5000
Cd  0.7861  0.2139  0.5000
Cd  0.7861  0.5723  0.5000
Ni  0.3333  0.6667  0.0000
Ni  0.6667  0.3333  0.0000

Principal peaks in the range 2θ from 5° to 70°, by angle:
2theta, I/Imax
11.4, 27.5
30.4, 28.4
31.3, 100.0
37.3, 54.7
40.2, 29.3
40.9, 23.8
42.7, 25.1
45.8, 16.1
46.8, 13.9
60.1, 17.1

Question: What is the formula in the second record?
Answer: CsCd9Ni2